No. 1
Calculated X-ray diffraction stick pattern
Compound: NdGaGePt2
Radiation: Cu Kα, 1.54184 Å
Structure: a structure optimized by DFT (GGA-PBE)
Intensities are scaled so that the largest is 100.

Main lines, by angle (5° ≤ 2θ ≤ 70°):
| Position (°2θ) | I (rel.) |
| --- | --- |
| 25.84 | 13 |
| 30.47 | 27 |
| 33.23 | 52 |
| 34.05 | 100 |
| 41.75 | 69 |
| 45.95 | 34 |
| 48.79 | 27 |
| 54.37 | 26 |
| 60.52 | 23 |
| 66.12 | 21 |

Structural model:
a = 4.3269 Å, b = 4.3269 Å, c = 10.3435 Å
α = 90.00°, β = 90.00°, γ = 90.00°
Positions (direct):
1 Nd 0.2500 0.2500 0.2473
2 Nd 0.7500 0.7500 0.7527
3 Ga 0.2500 0.7500 0.0000
4 Ga 0.7500 0.2500 0.0000
5 Ge 0.2500 0.2500 0.6307
6 Ge 0.7500 0.7500 0.3693
7 Pt 0.2500 0.2500 0.8668
8 Pt 0.2500 0.7500 0.5000
9 Pt 0.7500 0.2500 0.5000
10 Pt 0.7500 0.7500 0.1332

No. 2
Calculated X-ray diffraction stick pattern
Compound: TaH
Radiation: Cu Kα, 1.54184 Å
Structure: a structure optimized by DFT (GGA-PBE)
Intensities are scaled so that the largest is 100.

Main lines, by angle (5° ≤ 2θ ≤ 70°):
| Position (°2θ) | I (rel.) |
| --- | --- |
| 36.74 | 100 |
| 37.36 | 19 |
| 52.43 | 7 |
| 53.43 | 14 |
| 65.75 | 8 |
| 66.19 | 22 |
| 66.98 | 14 |

Structural model:
a = 2.9732 Å, b = 2.9732 Å, c = 4.8879 Å
α = 90.00°, β = 90.00°, γ = 108.12°
Positions (direct):
1 Ta 0.0000 0.5000 0.0000
2 Ta 0.5000 0.0000 0.5000
3 H 0.0000 0.0000 0.2500
4 H 0.0000 0.0000 0.7500

No. 3
Calculated X-ray diffraction stick pattern
Compound: Er3Tm5S
Radiation: Cu Kα, 1.54184 Å
Structure: a structure optimized by DFT (GGA-PBE)
Intensities are scaled so that the largest is 100.

Main lines, by angle (5° ≤ 2θ ≤ 70°):
| Position (°2θ) | I (rel.) |
| --- | --- |
| 30.71 | 76 |
| 31.53 | 100 |
| 33.66 | 56 |
| 34.95 | 40 |
| 39.45 | 24 |
| 49.31 | 16 |
| 57.87 | 30 |
| 59.37 | 24 |
| 60.55 | 19 |
| 62.00 | 15 |

Structural model:
a = 8.8944 Å, b = 8.8944 Å, c = 3.6845 Å
α = 90.00°, β = 90.00°, γ = 120.00°
Positions (direct):
1 Er 0.0000 0.2459 0.0000
2 Er 0.2459 0.0000 0.0000
3 Er 0.7541 0.7541 0.0000
4 Tm 0.0000 0.6017 0.5000
5 Tm 0.3333 0.6667 0.0000
6 Tm 0.3983 0.3983 0.5000
7 Tm 0.6017 0.0000 0.5000
8 Tm 0.6667 0.3333 0.0000
9 S 0.0000 0.0000 0.5000

Q: What is the formula in the first record?
A: NdGaGePt2